Structure and calculated X-ray powder pattern of Ba3DyFe2O8 (DFT lattice parameters and positions (GGA+U); Cu Kα (λ = 1.5418 Å)).
Kinematic intensities with the Lorentz-polarization factor, no thermal factor.

Peak list (10 most intense, 10 to 90 degrees two-theta, in order of falling intensity)
3.016 Å, I = 100, (1 1 0); 3.081 Å, I = 86, (0 1 2); 2.155 Å, I = 45, (2 0 2); 1.754 Å, I = 34, (1 2 2); 1.741 Å, I = 20, (3 0 0); 1.508 Å, I = 16, (2 2 0); 7.631 Å, I = 16, (0 0 1); 1.792 Å, I = 16, (1 0 4); 1.355 Å, I = 15, (3 1 2); 1.372 Å, I = 13, (2 1 4)

Structural model:
```
Ba3DyFe2O8
1.0
6.0327 0.0000 0.0000
-3.0163 5.2244 0.0000
0.0000 0.0000 7.6310
Ba Dy Fe O
3 1 2 8
Cartesian
0.0000 0.0000 0.0000
0.0000 3.4830 5.0052
3.0163 1.7415 2.6258
0.0000 0.0000 3.8155
0.0000 3.4830 1.6391
3.0163 1.7415 5.9919
0.0000 1.7690 2.4364
-1.4843 4.3399 2.4364
0.0000 3.4830 7.4694
1.5320 0.8845 5.1945
1.4843 4.3399 2.4364
3.0163 1.7415 0.1616
4.5006 0.8845 5.1945
3.0163 3.4554 5.1945
```